No. 1
Pr5Co19B6: computed powder X-ray diffraction pattern (Cu Kα, 1.54184 Å), based on the PBE geometry in Alexandria.

Largest 6 diffraction maxima, low angle first, 2θ from 5° to 70°:
Position (°2θ)  Rel. int.
33.74  94.5
34.95  31.2
40.57  94.9
44.65  100.0
61.90  32.4
69.47  25.3

a b c (Å): 5.1352 5.1352 16.5609
angles (deg): 90.00 90.00 120.00
Fractional positions:
Pr 0.0000 0.0000 0.0000
Pr 0.0000 0.0000 0.2045
Pr 0.0000 0.0000 0.4061
Pr 0.0000 0.0000 0.5939
Pr 0.0000 0.0000 0.7955
Co 0.0000 0.5000 0.0864
Co 0.0000 0.5000 0.3261
Co 0.0000 0.5000 0.5000
Co 0.0000 0.5000 0.6739
Co 0.0000 0.5000 0.9136
Co 0.3333 0.6667 0.2055
Co 0.3333 0.6667 0.7945
Co 0.5000 0.0000 0.0864
Co 0.5000 0.0000 0.3261
Co 0.5000 0.0000 0.5000
Co 0.5000 0.0000 0.6739
Co 0.5000 0.0000 0.9136
Co 0.5000 0.5000 0.0864
Co 0.5000 0.5000 0.3261
Co 0.5000 0.5000 0.5000
Co 0.5000 0.5000 0.6739
Co 0.5000 0.5000 0.9136
Co 0.6667 0.3333 0.2055
Co 0.6667 0.3333 0.7945
B 0.3333 0.6667 0.0000
B 0.3333 0.6667 0.4116
B 0.3333 0.6667 0.5884
B 0.6667 0.3333 0.0000
B 0.6667 0.3333 0.4116
B 0.6667 0.3333 0.5884


No. 2
CoB7Pt12: computed powder X-ray diffraction pattern (Cu Kα, 1.54184 Å), based on the PBE geometry in Alexandria.

Largest 6 diffraction maxima, low angle first, 2θ from 5° to 70°:
Position (°2θ)  Rel. int.
21.51  40.2
34.48  46.2
38.75  100.0
43.83  76.9
60.85  29.1
66.53  21.2

a b c (Å): 6.9933 6.9933 6.9933
angles (deg): 107.00 107.00 107.00
Fractional positions:
Co 0.0000 0.0000 0.0000
B 0.0236 0.7469 0.7469
B 0.2531 0.2531 0.9764
B 0.2531 0.9764 0.2531
B 0.5000 0.5000 0.5000
B 0.7469 0.0236 0.7469
B 0.7469 0.7469 0.0236
B 0.9764 0.2531 0.2531
Pt 0.0000 0.2624 0.7376
Pt 0.0000 0.7376 0.2624
Pt 0.2396 0.2396 0.4894
Pt 0.2396 0.4894 0.2396
Pt 0.2624 0.0000 0.7376
Pt 0.2624 0.7376 0.0000
Pt 0.4894 0.2396 0.2396
Pt 0.5106 0.7604 0.7604
Pt 0.7376 0.0000 0.2624
Pt 0.7376 0.2624 0.0000
Pt 0.7604 0.5106 0.7604
Pt 0.7604 0.7604 0.5106


No. 3
PuCoB: computed powder X-ray diffraction pattern (Cu Kα, 1.54184 Å), based on the PBE geometry in Alexandria.

Largest 6 diffraction maxima, low angle first, 2θ from 5° to 70°:
Position (°2θ)  Rel. int.
17.47  44.7
34.39  51.5
36.00  100.0
38.03  45.3
40.90  35.8
42.47  63.4

a b c (Å): 10.4732 3.0247 5.0957
angles (deg): 90.00 95.09 90.00
Fractional positions:
Pu 0.1233 0.0000 0.3787
Pu 0.3767 0.5000 0.6213
Pu 0.6233 0.5000 0.3787
Pu 0.8767 0.0000 0.6213
Co 0.0999 0.5000 0.8755
Co 0.4001 0.0000 0.1245
Co 0.5999 0.0000 0.8755
Co 0.9001 0.5000 0.1245
B 0.2269 0.0000 0.9079
B 0.2731 0.5000 0.0921
B 0.7269 0.5000 0.9079
B 0.7731 0.0000 0.0921


No. 4
Co3Re25B12: computed powder X-ray diffraction pattern (Cu Kα, 1.54184 Å), based on the PBE geometry in Alexandria.

Largest 6 diffraction maxima, low angle first, 2θ from 5° to 70°:
Position (°2θ)  Rel. int.
33.18  33.4
36.91  31.1
39.00  49.8
41.32  100.0
46.07  42.5
46.27  36.1

a b c (Å): 4.9476 7.4387 12.8899
angles (deg): 90.00 90.04 90.00
Fractional positions:
Co 0.0000 0.0000 0.0000
Co 0.0038 0.5000 0.5004
Co 0.5070 0.0000 0.3336
Re 0.1758 0.5000 0.2905
Re 0.1781 0.1853 0.6033
Re 0.1780 0.3142 0.1055
Re 0.1780 0.6858 0.1055
Re 0.1781 0.8147 0.6033
Re 0.1801 0.0000 0.7906
Re 0.4691 0.0000 0.1241
Re 0.4701 0.3168 0.4371
Re 0.4701 0.6832 0.4371
Re 0.4764 0.1789 0.9420
Re 0.4764 0.5000 0.6167
Re 0.4764 0.8211 0.9420
Re 0.5197 0.5000 0.8327
Re 0.6766 0.0000 0.5411
Re 0.6773 0.3141 0.2297
Re 0.6773 0.6859 0.2297
Re 0.6780 0.1835 0.7268
Re 0.6785 0.5000 0.0457
Re 0.6780 0.8165 0.7268
Re 0.9700 0.0000 0.2116
Re 0.9700 0.1821 0.3938
Re 0.9700 0.8179 0.3938
Re 0.9726 0.3141 0.8953
Re 0.9726 0.6859 0.8953
Re 0.9756 0.5000 0.7090
B 0.2705 0.2857 0.7610
B 0.2705 0.7143 0.7610
B 0.2720 0.5000 0.9763
B 0.2814 0.0000 0.4705
B 0.2810 0.2077 0.2646
B 0.2810 0.7923 0.2646
B 0.7805 0.2070 0.0714
B 0.7803 0.5000 0.3613
B 0.7805 0.7930 0.0714
B 0.7811 0.2905 0.5675
B 0.7811 0.7095 0.5675
B 0.7817 0.0000 0.8610